Record 1
Diffraction record for KLiTb2Mo4O16. The powder XRD pattern is simulated, not measured: it uses a structure optimized by DFT (PBE+U) and Cu Kα, 1.54184 Å.
Intensities are scaled so that the largest is 100.

Peak list (10 most intense, 2θ from 10° to 90°, in order of falling intensity)
2θ/deg  d (Å)  Rel. int.
28.5  3.136  100
29.9  2.985  75
30.7  2.915  70
27.4  3.255  61
26.4  3.375  57
28.1  3.178  54
25.1  3.550  53
34.0  2.640  50
26.9  3.320  49
28.7  3.112  46

Crystal structure
```
KLiTb2Mo4O16
1.0
2.644 -6.403 0.000
2.644 6.403 0.000
-1.074 0.000 19.610
K Li Tb Mo O
2 2 4 8 32
direct
0.031 0.969 0.750 K
0.969 0.031 0.250 K
0.313 0.687 0.750 Li
0.687 0.313 0.250 Li
0.146 0.852 0.532 Tb
0.148 0.854 0.968 Tb
0.852 0.146 0.032 Tb
0.854 0.148 0.468 Tb
0.247 0.732 0.352 Mo
0.268 0.753 0.148 Mo
0.419 0.544 0.908 Mo
0.456 0.581 0.592 Mo
0.544 0.419 0.408 Mo
0.581 0.456 0.092 Mo
0.732 0.247 0.852 Mo
0.753 0.268 0.648 Mo
0.010 0.732 0.173 O
0.064 0.584 0.433 O
0.065 0.472 0.286 O
0.101 0.402 0.132 O
0.168 0.507 0.958 O
0.222 0.261 0.537 O
0.222 0.313 0.398 O
0.261 0.222 0.037 O
0.268 0.990 0.327 O
0.300 0.483 0.671 O
0.313 0.222 0.898 O
0.402 0.101 0.632 O
0.416 0.936 0.067 O
0.472 0.065 0.786 O
0.483 0.300 0.171 O
0.493 0.832 0.542 O
0.507 0.168 0.458 O
0.517 0.700 0.829 O
0.528 0.935 0.214 O
0.584 0.064 0.933 O
0.598 0.899 0.368 O
0.687 0.778 0.102 O
0.700 0.517 0.329 O
0.732 0.010 0.673 O
0.739 0.778 0.963 O
0.778 0.687 0.602 O
0.778 0.739 0.463 O
0.832 0.493 0.042 O
0.899 0.598 0.868 O
0.935 0.528 0.714 O
0.936 0.416 0.567 O
0.990 0.268 0.827 O
```


Record 2
Diffraction record for Sr2Mn2O5. The powder XRD pattern is simulated, not measured: it uses a structure optimized by DFT (PBE+U) and Cu Kα, 1.54184 Å.
Intensities are scaled so that the largest is 100.

Peak list (10 most intense, 2θ from 10° to 90°, in order of falling intensity)
2θ/deg  d (Å)  Rel. int.
32.2  2.777  100
33.3  2.688  90
31.3  2.858  83
55.6  1.653  39
43.1  2.097  38
57.7  1.597  36
46.5  1.952  31
39.8  2.263  31
59.5  1.555  27
49.2  1.853  26

Crystal structure
```
Sr2Mn2O5
1.0
3.905 -4.193 0.000
3.905 4.193 0.000
0.000 0.000 3.706
Sr Mn O
2 2 5
direct
0.000 0.500 0.000 Sr
0.500 0.000 0.000 Sr
0.000 0.000 0.500 Mn
0.500 0.500 0.500 Mn
0.000 0.000 0.000 O
0.257 0.257 0.500 O
0.273 0.727 0.500 O
0.727 0.273 0.500 O
0.743 0.743 0.500 O
```


Record 3
Diffraction record for Li2Co3P4O14. The powder XRD pattern is simulated, not measured: it uses a structure optimized by DFT (PBE+U) and Cu Kα, 1.54184 Å.
Intensities are scaled so that the largest is 100.

Peak list (10 most intense, 2θ from 10° to 90°, in order of falling intensity)
2θ/deg  d (Å)  Rel. int.
30.5  2.934  100
25.7  3.465  90
33.4  2.680  85
14.3  6.199  76
32.7  2.735  65
32.1  2.790  62
41.4  2.181  58
39.2  2.301  51
21.1  4.210  48
34.6  2.594  39

Crystal structure
```
Li2Co3P4O14
1.0
5.525 0.000 0.000
2.653 6.381 0.000
0.983 1.739 7.128
Li Co P O
2 3 4 14
direct
0.141 0.026 0.189 Li
0.859 0.974 0.811 Li
0.309 0.484 0.184 Co
0.500 0.000 0.500 Co
0.691 0.516 0.816 Co
0.151 0.690 0.563 P
0.300 0.269 0.843 P
0.700 0.731 0.157 P
0.849 0.310 0.437 P
0.040 0.272 0.947 O
0.135 0.223 0.358 O
0.172 0.727 0.351 O
0.242 0.434 0.638 O
0.339 0.764 0.642 O
0.442 0.356 0.950 O
0.468 0.060 0.786 O
0.532 0.940 0.214 O
0.558 0.644 0.050 O
0.661 0.236 0.358 O
0.758 0.566 0.362 O
0.828 0.273 0.649 O
0.865 0.777 0.642 O
0.960 0.728 0.053 O
```